# 1
Ta2Pb2O7: theoretical X-ray diffraction stick pattern (Cu Kα (weighted mean of Kα1 and Kα2)), based on a DFT-relaxed cell (GGA-PBE, the Materials Project).
No peak broadening, texture or thermal motion is included.

Atomic structure:
```
Ta2Pb2O7
1.0
1.992 -13.809 0.000
1.992 13.809 0.000
0.000 0.000 5.910
Ta Pb O
4 4 14
direct
0.057 0.943 0.500
0.159 0.841 0.999
0.841 0.159 0.499
0.943 0.057 0.000
0.285 0.715 0.010
0.447 0.553 0.526
0.553 0.447 0.026
0.715 0.285 0.510
0.001 0.999 0.709
0.098 0.902 0.214
0.104 0.896 0.722
0.205 0.795 0.234
0.210 0.790 0.776
0.351 0.649 0.486
0.450 0.550 0.956
0.550 0.450 0.456
0.649 0.351 0.986
0.790 0.210 0.276
0.795 0.205 0.734
0.896 0.104 0.222
0.902 0.098 0.714
0.999 0.001 0.209
```

Main lines, most intense first (10° ≤ 2θ ≤ 90°):
2θ/deg	I (rel.)
28.7	100
31.6	66
30.2	53
30.0	37
57.3	29
45.5	26
25.8	26
27.2	26
24.5	21
55.6	20
44.6	19
52.8	18

---

# 2
Ta6Pb4O19: theoretical X-ray diffraction stick pattern (Cu Kα (weighted mean of Kα1 and Kα2)), based on a DFT-relaxed cell (GGA-PBE, the Materials Project).
No peak broadening, texture or thermal motion is included.

Atomic structure:
```
Ta6Pb4O19
1.0
6.532 -3.756 0.000
6.532 3.756 0.000
-0.150 0.000 18.447
Ta Pb O
12 8 38
direct
0.000 0.000 0.000
0.000 0.500 0.500
0.166 0.667 0.831
0.167 0.167 0.828
0.333 0.834 0.169
0.335 0.335 0.664
0.500 0.000 0.500
0.500 0.500 0.500
0.665 0.665 0.336
0.667 0.166 0.831
0.833 0.833 0.172
0.834 0.333 0.169
0.000 0.000 0.500
0.000 0.500 0.000
0.174 0.174 0.329
0.342 0.342 0.176
0.500 0.000 0.000
0.500 0.500 0.000
0.658 0.658 0.824
0.826 0.826 0.671
0.079 0.465 0.604
0.083 0.461 0.855
0.127 0.127 0.192
0.127 0.127 0.940
0.127 0.746 0.938
0.127 0.747 0.184
0.194 0.589 0.728
0.202 0.591 0.481
0.204 0.204 0.476
0.213 0.213 0.731
0.253 0.873 0.816
0.254 0.873 0.062
0.335 0.335 0.060
0.409 0.798 0.519
0.411 0.806 0.272
0.455 0.455 0.603
0.461 0.083 0.855
0.461 0.461 0.851
0.465 0.079 0.604
0.535 0.921 0.396
0.539 0.539 0.149
0.539 0.917 0.145
0.545 0.545 0.397
0.589 0.194 0.728
0.591 0.202 0.481
0.665 0.665 0.940
0.746 0.127 0.938
0.747 0.127 0.184
0.787 0.787 0.269
0.796 0.796 0.524
0.798 0.409 0.519
0.806 0.411 0.272
0.873 0.253 0.816
0.873 0.254 0.062
0.873 0.873 0.060
0.873 0.873 0.808
0.917 0.539 0.145
0.921 0.535 0.396
```

Main lines, most intense first (10° ≤ 2θ ≤ 90°):
2θ/deg	I (rel.)
29.1	100
33.6	35
28.9	33
48.5	27
57.5	20
48.3	19
14.4	18
33.8	17
57.3	15
57.6	14
57.2	10
27.8	9

---

# 3
Ta2PbO6: theoretical X-ray diffraction stick pattern (Cu Kα (weighted mean of Kα1 and Kα2)), based on a DFT-relaxed cell (GGA-PBE, the Materials Project).
No peak broadening, texture or thermal motion is included.

Atomic structure:
```
Ta2PbO6
1.0
11.195 0.000 0.000
0.000 7.736 0.000
0.000 0.000 5.744
Ta Pb O
8 4 24
direct
0.143 0.003 0.038
0.143 0.497 0.038
0.357 0.503 0.538
0.357 0.997 0.538
0.643 0.003 0.462
0.643 0.497 0.462
0.857 0.503 0.962
0.857 0.997 0.962
0.038 0.750 0.540
0.462 0.250 0.040
0.538 0.750 0.960
0.962 0.250 0.460
0.023 0.034 0.786
0.023 0.466 0.786
0.131 0.250 0.135
0.146 0.750 0.974
0.217 0.546 0.354
0.217 0.954 0.354
0.283 0.046 0.854
0.283 0.454 0.854
0.354 0.250 0.474
0.369 0.750 0.635
0.477 0.534 0.286
0.477 0.966 0.286
0.523 0.034 0.714
0.523 0.466 0.714
0.631 0.250 0.365
0.646 0.750 0.526
0.717 0.546 0.146
0.717 0.954 0.146
0.783 0.046 0.646
0.783 0.454 0.646
0.854 0.250 0.026
0.869 0.750 0.865
0.977 0.534 0.214
0.977 0.966 0.214
```

Main lines, most intense first (10° ≤ 2θ ≤ 90°):
2θ/deg	I (rel.)
28.9	100
28.5	73
31.1	29
55.9	23
51.3	22
28.0	22
39.8	19
57.4	18
47.0	17
42.4	14
54.1	11
56.1	10